This entry pairs a crystal structure of Fe3Mo2 with its computed powder X-ray diffraction pattern. Radiation: a wavelength of 1.5418 Å. Structure: a structure optimized by DFT (GGA-PBE).
No peak broadening, texture or thermal motion is included.

Most intense lines, 2θ = 10–90°, sorted by position:
two_theta  intensity
38.02  42.9
40.81  46.9
43.24  100.0
43.68  50.8
43.92  58.8
47.14  34.6

Structure:
```
Fe3Mo2
1.0
0.0000 5.9367 2.6321
4.0770 0.0000 2.6321
4.0770 5.9367 0.0000
Fe Mo
6 4
Direct
0.0000 0.0000 0.0000 Fe
0.2500 0.2500 0.2500 Fe
0.2997 0.4107 0.4836 Fe
0.4107 0.2997 0.8059 Fe
0.4441 0.7664 0.8393 Fe
0.7664 0.4441 0.9503 Fe
0.0038 0.7606 0.3983 Mo
0.4127 0.8517 0.4894 Mo
0.7606 0.0038 0.8373 Mo
0.8517 0.4127 0.2462 Mo
```

This entry pairs a crystal structure of FeMo8 with its computed powder X-ray diffraction pattern. Radiation: a wavelength of 1.5418 Å. Structure: a structure optimized by DFT (GGA-PBE).
No peak broadening, texture or thermal motion is included.

Most intense lines, 2θ = 10–90°, sorted by position:
two_theta  intensity
39.50  100.0
40.76  23.0
48.36  27.0
65.05  21.6
73.36  15.4
84.24  20.9

Structure:
```
FeMo8
1.0
-3.9925 3.9925 2.2135
3.9925 -3.9925 2.2135
3.9925 3.9925 -2.2135
Fe Mo
1 8
Direct
0.0000 0.0000 0.0000 Fe
0.0000 0.3241 0.3241 Mo
0.0000 0.6759 0.6759 Mo
0.3241 0.0000 0.3241 Mo
0.3379 0.3379 0.6757 Mo
0.3379 0.6621 0.0000 Mo
0.6621 0.3379 0.0000 Mo
0.6621 0.6621 0.3243 Mo
0.6759 0.0000 0.6759 Mo
```

This entry pairs a crystal structure of Fe5Mo3 with its computed powder X-ray diffraction pattern. Radiation: a wavelength of 1.5418 Å. Structure: a structure optimized by DFT (GGA-PBE).
No peak broadening, texture or thermal motion is included.

Most intense lines, 2θ = 10–90°, sorted by position:
two_theta  intensity
39.06  71.3
40.90  40.3
41.22  55.3
42.30  100.0
42.52  42.8
44.66  54.1

Structure:
```
Fe5Mo3
1.0
4.8086 0.0000 0.0000
2.1228 6.2340 0.0000
2.0435 -0.1548 7.0211
Fe Mo
10 6
Direct
0.0000 0.0000 0.0000 Fe
0.0003 0.0780 0.3188 Fe
0.0123 0.6443 0.8447 Fe
0.0515 0.7665 0.5014 Fe
0.2527 0.2167 0.7782 Fe
0.4888 0.7672 0.7583 Fe
0.4974 0.9937 0.0258 Fe
0.5207 0.2545 0.2165 Fe
0.6179 0.3932 0.8852 Fe
0.8425 0.7485 0.2225 Fe
0.0197 0.3775 0.1093 Mo
0.0293 0.4115 0.5102 Mo
0.3901 0.6638 0.1542 Mo
0.4639 0.9707 0.4610 Mo
0.5180 0.4439 0.5112 Mo
0.8355 0.0597 0.6987 Mo
```

This entry pairs a crystal structure of Fe25Mo4 with its computed powder X-ray diffraction pattern. Radiation: a wavelength of 1.5418 Å. Structure: a structure optimized by DFT (GGA-PBE).
No peak broadening, texture or thermal motion is included.

Most intense lines, 2θ = 10–90°, sorted by position:
two_theta  intensity
43.40  100.0
48.25  23.7
50.55  10.6
52.77  7.5
76.08  8.8
79.65  20.9

Structure:
```
Fe25Mo4
1.0
-4.4230 4.4230 4.4230
4.4230 -4.4230 4.4230
4.4230 4.4230 -4.4230
Fe Mo
25 4
Direct
0.0000 0.0000 0.0000 Fe
0.0000 0.1894 0.3759 Fe
0.0000 0.3759 0.1894 Fe
0.0000 0.4043 0.6789 Fe
0.0000 0.6789 0.4043 Fe
0.1865 0.8106 0.8106 Fe
0.1894 0.0000 0.3759 Fe
0.1894 0.3759 0.0000 Fe
0.2746 0.5957 0.5957 Fe
0.3211 0.3211 0.7254 Fe
0.3211 0.7254 0.3211 Fe
0.3759 0.0000 0.1894 Fe
0.3759 0.1894 0.0000 Fe
0.4043 0.0000 0.6789 Fe
0.4043 0.6789 0.0000 Fe
0.5957 0.2746 0.5957 Fe
0.5957 0.5957 0.2746 Fe
0.6241 0.6241 0.8135 Fe
0.6241 0.8135 0.6241 Fe
0.6789 0.0000 0.4043 Fe
0.6789 0.4043 0.0000 Fe
0.7254 0.3211 0.3211 Fe
0.8106 0.1865 0.8106 Fe
0.8106 0.8106 0.1865 Fe
0.8135 0.6241 0.6241 Fe
0.0000 0.0000 0.6339 Mo
0.0000 0.6339 0.0000 Mo
0.3661 0.3661 0.3661 Mo
0.6339 0.0000 0.0000 Mo
```

This entry pairs a crystal structure of Fe6Mo7 with its computed powder X-ray diffraction pattern. Radiation: a wavelength of 1.5418 Å. Structure: a structure optimized by DFT (GGA-PBE).
No peak broadening, texture or thermal motion is included.

Most intense lines, 2θ = 10–90°, sorted by position:
two_theta  intensity
20.31  21.0
41.08  100.0
43.13  31.1
44.61  44.1
47.90  24.4
74.63  21.9

Structure:
```
Fe6Mo7
1.0
2.5436 1.4685 8.7460
-2.5436 1.4685 8.7460
0.0000 -2.9371 8.7460
Fe Mo
6 7
Direct
0.0424 0.0424 0.0424 Fe
0.1490 0.1490 0.1490 Fe
0.3330 0.3330 0.3330 Fe
0.6670 0.6670 0.6670 Fe
0.8510 0.8510 0.8510 Fe
0.9576 0.9576 0.9576 Fe
0.0820 0.5878 0.5878 Mo
0.4122 0.4122 0.9180 Mo
0.4122 0.9180 0.4122 Mo
0.5000 0.5000 0.5000 Mo
0.5878 0.0820 0.5878 Mo
0.5878 0.5878 0.0820 Mo
0.9180 0.4122 0.4122 Mo
```

This entry pairs a crystal structure of FeNi3Mo6N2 with its computed powder X-ray diffraction pattern. Radiation: a wavelength of 1.5418 Å. Structure: a structure optimized by DFT (GGA-PBE).
No peak broadening, texture or thermal motion is included.

Most intense lines, 2θ = 10–90°, sorted by position:
two_theta  intensity
40.53  100.0
42.83  56.6
45.03  25.9
72.11  13.5
76.86  10.1
76.92  9.9

Structure:
```
FeNi3Mo6N2
1.0
6.6753 0.0000 0.0000
0.0000 6.6729 0.0000
-0.0052 0.0000 6.6829
Fe Ni Mo N
2 6 12 4
Direct
0.1781 0.0000 0.4291 Fe
0.8219 0.5000 0.5709 Fe
0.0661 0.2445 0.6824 Ni
0.3179 0.3601 0.9323 Ni
0.4352 0.1131 0.1858 Ni
0.5648 0.6131 0.8142 Ni
0.6821 0.8601 0.0677 Ni
0.9339 0.7445 0.3176 Ni
0.0501 0.0532 0.0477 Mo
0.1284 0.3769 0.2958 Mo
0.1990 0.6310 0.6217 Mo
0.2999 0.7252 0.1218 Mo
0.3734 0.9774 0.7984 Mo
0.4575 0.3083 0.5519 Mo
0.5425 0.8083 0.4481 Mo
0.6266 0.4774 0.2016 Mo
0.7001 0.2252 0.8782 Mo
0.8010 0.1310 0.3783 Mo
0.8716 0.8769 0.7042 Mo
0.9499 0.5532 0.9523 Mo
0.1242 0.8018 0.8743 N
0.3754 0.5534 0.3736 N
0.6246 0.0534 0.6264 N
0.8758 0.3018 0.1257 N
```